For Rb2CuIBr6, a DFT-relaxed cell (PBE, Alexandria) gives the simulated X-ray diffraction stick pattern in this record (Cu Ka).

Top 10 peaks for 2θ = 15–90°, low angle first:
2θ = 15.53°, intensity 40; 2θ = 21.85°, intensity 43; 2θ = 22.04°, intensity 24; 2θ = 26.92°, intensity 89; 2θ = 30.83°, intensity 61; 2θ = 31.36°, intensity 100; 2θ = 34.23°, intensity 24; 2θ = 44.55°, intensity 71; 2θ = 44.94°, intensity 29; 2θ = 55.49°, intensity 29

Cell and atoms:
```
data_Rb2CuIBr6
_cell_length_a 8.068
_cell_length_b 8.068
_cell_length_c 11.603
_cell_angle_alpha 90.00
_cell_angle_beta 90.00
_cell_angle_gamma 90.00
_symmetry_space_group_name_H-M 'I 4/m m m'
_symmetry_Int_Tables_number 139
_symmetry_space_group_name_Hall '-I 4 2'
loop_
_atom_site_label
_atom_site_type_symbol
_atom_site_fract_x
_atom_site_fract_y
_atom_site_fract_z
Rb1 Rb 0.000 0.500 0.250
Cu1 Cu 0.000 0.000 0.000
I1 I 0.000 0.000 0.500
Br1 Br 0.000 0.000 0.267
Br2 Br 0.209 0.209 0.000
```


For P2SeO3, a DFT-relaxed cell (PBE, Alexandria) gives the simulated X-ray diffraction stick pattern in this record (Cu Ka).

Top 10 peaks for 2θ = 15–90°, low angle first:
2θ = 19.05°, intensity 41; 2θ = 19.76°, intensity 32; 2θ = 20.29°, intensity 46; 2θ = 20.68°, intensity 21; 2θ = 20.95°, intensity 100; 2θ = 23.79°, intensity 21; 2θ = 29.89°, intensity 19; 2θ = 30.74°, intensity 21; 2θ = 33.17°, intensity 17; 2θ = 33.82°, intensity 23

Cell and atoms:
```
data_P2SeO3
_cell_length_a 12.882
_cell_length_b 6.753
_cell_length_c 12.200
_cell_angle_alpha 90.00
_cell_angle_beta 91.68
_cell_angle_gamma 90.00
_symmetry_space_group_name_H-M 'P 1 21/c 1'
_symmetry_Int_Tables_number 14
_symmetry_space_group_name_Hall '-P 2ybc'
loop_
_atom_site_label
_atom_site_type_symbol
_atom_site_fract_x
_atom_site_fract_y
_atom_site_fract_z
P1 P 0.154 0.188 0.032
P2 P 0.166 0.555 0.904
P3 P 0.288 0.523 0.111
P4 P 0.343 0.206 0.417
Se1 Se 0.082 0.743 0.803
Se2 Se 0.462 0.182 0.828
O1 O 0.103 0.136 0.448
O2 O 0.209 0.169 0.628
O3 O 0.216 0.650 0.015
O4 O 0.261 0.133 0.960
O5 O 0.267 0.049 0.349
O6 O 0.374 0.081 0.526
```